Entry 1:
The following is a theoretical X-ray diffraction stick pattern of Ag3BiAu4. It was derived from a PBE-relaxed structure, using λ = 1.5418 Å (Cu Kα).
Kinematic intensities with the Lorentz-polarization factor, no thermal factor.

Cell and atoms:
```
data_Ag3BiAu4
_chemical_formula_sum 'Ag6 Bi2 Au8'
_space_group_name_H-M_alt 'P m m a'
_space_group_IT_number 51
_cell_length_a 9.6036
_cell_length_b 6.2129
_cell_length_c 5.2265
_cell_angle_alpha 90.00
_cell_angle_beta 90.00
_cell_angle_gamma 90.00
loop_
_space_group_symop_operation_xyz
'x,y,z'
'-x,-y,-z'
'-x+1/2,-y,z'
'x+1/2,y,-z'
'x+1/2,-y,-z'
'-x+1/2,y,z'
'-x,y,-z'
'x,-y,z'
loop_
_atom_site_label
_atom_site_type_symbol
_atom_site_fract_x
_atom_site_fract_y
_atom_site_fract_z
Ag1 Ag 0.0000 0.0000 0.0000
Ag2 Ag 0.2500 0.0000 0.3321
Ag3 Ag 0.2500 0.5000 0.3752
Bi1 Bi 0.0000 0.5000 0.0000
Au1 Au 0.0000 0.2373 0.5000
Au2 Au 0.2500 0.2326 0.8351
```

Main lines, sorted by position (15° ≤ 2θ ≤ 90°):
Position (°2θ), d [Å], I_rel, index
34.87, 2.573, 31, 1 2 1
35.60, 2.522, 18, 1 0 2
37.46, 2.401, 45, 4 0 0
38.58, 2.334, 100, 2 2 1
39.25, 2.295, 41, 2 0 2
44.17, 2.051, 16, 3 2 1
59.52, 1.553, 11, 0 4 0
60.97, 1.520, 20, 0 2 3
68.32, 1.373, 19, 6 2 1
72.48, 1.304, 12, 4 4 0
73.64, 1.286, 12, 2 4 2
73.80, 1.284, 23, 4 2 3

***

Entry 2:
The following is a theoretical X-ray diffraction stick pattern of NaTl7Hg3. It was derived from a PBE-relaxed structure, using λ = 1.5418 Å (Cu Kα).
Kinematic intensities with the Lorentz-polarization factor, no thermal factor.

Cell and atoms:
```
data_NaTl7Hg3
_chemical_formula_sum 'Na1 Tl7 Hg3'
_space_group_name_H-M_alt 'P 3 m 1'
_space_group_IT_number 156
_cell_length_a 6.9835
_cell_length_b 6.9835
_cell_length_c 7.8959
_cell_angle_alpha 90.00
_cell_angle_beta 90.00
_cell_angle_gamma 120.00
loop_
_space_group_symop_operation_xyz
'x,y,z'
'-y,x-y,z'
'-x+y,-x,z'
'-y,-x,z'
'-x+y,y,z'
'x,x-y,z'
loop_
_atom_site_label
_atom_site_type_symbol
_atom_site_fract_x
_atom_site_fract_y
_atom_site_fract_z
Na1 Na 0.0000 0.0000 0.0000
Tl1 Tl 0.3333 0.6667 0.6726
Tl2 Tl 0.3419 0.1710 0.6464
Tl3 Tl 0.5043 0.0086 0.0202
Hg1 Hg 0.1635 0.3270 0.3277
```

Main lines, sorted by position (15° ≤ 2θ ≤ 90°):
Position (°2θ), d [Å], I_rel, index
18.48, 4.801, 15, 1 0 1
31.69, 2.824, 100, 0 2 1
34.06, 2.632, 25, 0 0 3
37.46, 2.401, 62, 2 0 2
52.41, 1.746, 24, 2 2 0
55.60, 1.653, 19, 0 2 4
62.55, 1.485, 15, 4 0 1
64.00, 1.455, 25, 2 2 3
66.19, 1.412, 13, 0 4 2
66.84, 1.400, 10, 2 0 5
85.93, 1.131, 12, 2 4 1
89.21, 1.098, 12, 4 2 2

***

Entry 3:
The following is a theoretical X-ray diffraction stick pattern of PaTa2Te2Se4. It was derived from a PBE-relaxed structure, using λ = 1.5418 Å (Cu Kα).
Kinematic intensities with the Lorentz-polarization factor, no thermal factor.

Cell and atoms:
```
data_PaTa2Te2Se4
_chemical_formula_sum 'Pa1 Ta2 Te2 Se4'
_space_group_name_H-M_alt 'P 3 m 1'
_space_group_IT_number 156
_cell_length_a 3.4959
_cell_length_b 3.4959
_cell_length_c 23.1407
_cell_angle_alpha 90.00
_cell_angle_beta 90.00
_cell_angle_gamma 120.00
loop_
_space_group_symop_operation_xyz
'x,y,z'
'-y,x-y,z'
'-x+y,-x,z'
'-y,-x,z'
'-x+y,y,z'
'x,x-y,z'
loop_
_atom_site_label
_atom_site_type_symbol
_atom_site_fract_x
_atom_site_fract_y
_atom_site_fract_z
Pa1 Pa 0.0000 0.0000 0.0000
Ta1 Ta 0.0000 0.0000 0.6404
Ta2 Ta 0.6667 0.3333 0.3370
Te1 Te 0.6667 0.3333 0.1049
Te2 Te 0.6667 0.3333 0.8950
Se1 Se 0.0000 0.0000 0.2648
Se2 Se 0.0000 0.0000 0.4091
Se3 Se 0.6667 0.3333 0.5682
Se4 Se 0.6667 0.3333 0.7126
```

Main lines, sorted by position (15° ≤ 2θ ≤ 90°):
Position (°2θ), d [Å], I_rel, index
29.50, 3.028, 50, 1 0 0
30.52, 2.929, 12, 0 1 2
31.75, 2.818, 36, 1 0 3
33.40, 2.682, 35, 0 1 4
35.43, 2.534, 100, 1 0 5
37.78, 2.381, 20, 1 0 6
43.26, 2.091, 40, 0 1 8
46.33, 1.960, 18, 1 0 9
52.34, 1.748, 40, 1 1 0
53.77, 1.705, 16, 1 1 3
64.80, 1.439, 17, 0 2 5
87.89, 1.111, 16, 2 1 5

***

Entry 4:
The following is a theoretical X-ray diffraction stick pattern of Pr2Nd3Tm7. It was derived from a PBE-relaxed structure, using λ = 1.5418 Å (Cu Kα).
Kinematic intensities with the Lorentz-polarization factor, no thermal factor.

Cell and atoms:
```
data_Pr2Nd3Tm7
_chemical_formula_sum 'Pr2 Nd3 Tm7'
_space_group_name_H-M_alt 'P 1 2/m 1'
_space_group_IT_number 10
_cell_length_a 6.3543
_cell_length_b 3.5330
_cell_length_c 17.5323
_cell_angle_alpha 90.00
_cell_angle_beta 96.27
_cell_angle_gamma 90.00
loop_
_space_group_symop_operation_xyz
'x,y,z'
'-x,-y,-z'
'-x,y,-z'
'x,-y,z'
loop_
_atom_site_label
_atom_site_type_symbol
_atom_site_fract_x
_atom_site_fract_y
_atom_site_fract_z
Pr1 Pr 0.0530 0.0000 0.1748
Nd1 Nd 0.4560 0.5000 0.8411
Nd2 Nd 0.5000 0.0000 0.5000
Tm1 Tm 0.0000 0.5000 0.5000
Tm2 Tm 0.2247 0.0000 0.6635
Tm3 Tm 0.2545 0.0000 0.0008
Tm4 Tm 0.2735 0.5000 0.3377
```

Main lines, sorted by position (15° ≤ 2θ ≤ 90°):
Position (°2θ), d [Å], I_rel, index
29.68, 3.010, 61, 1 1 1
30.71, 2.911, 86, 2 0 -3
30.78, 2.905, 95, 0 0 6
31.28, 2.859, 100, 1 1 2
33.75, 2.656, 64, 2 0 3
34.74, 2.583, 70, 1 1 -4
37.91, 2.373, 32, 1 1 -5
50.22, 1.817, 35, 3 1 -1
51.75, 1.766, 23, 0 2 0
52.70, 1.737, 42, 2 0 -9
61.41, 1.510, 51, 0 2 6
63.22, 1.471, 21, 2 2 3

***

Entry 5:
The following is a theoretical X-ray diffraction stick pattern of IrSN. It was derived from a PBE-relaxed structure, using λ = 1.5418 Å (Cu Kα).
Kinematic intensities with the Lorentz-polarization factor, no thermal factor.

Cell and atoms:
```
data_IrSN
_chemical_formula_sum 'Ir1 S1 N1'
_space_group_name_H-M_alt 'P m m 2'
_space_group_IT_number 25
_cell_length_a 2.9855
_cell_length_b 3.4648
_cell_length_c 4.1511
_cell_angle_alpha 90.00
_cell_angle_beta 90.00
_cell_angle_gamma 90.00
loop_
_space_group_symop_operation_xyz
'x,y,z'
'-x,-y,z'
'-x,y,z'
'x,-y,z'
loop_
_atom_site_label
_atom_site_type_symbol
_atom_site_fract_x
_atom_site_fract_y
_atom_site_fract_z
Ir1 Ir 0.0000 0.0000 0.0000
S1 S 0.0000 0.5000 0.3251
N1 N 0.0000 0.5000 0.7010
```

Main lines, sorted by position (15° ≤ 2θ ≤ 90°):
Position (°2θ), d [Å], I_rel, index
21.41, 4.151, 100, 0 0 1
25.71, 3.465, 43, 0 1 0
29.93, 2.985, 87, 1 0 0
33.69, 2.660, 99, 0 1 1
37.09, 2.424, 51, 1 0 1
39.86, 2.262, 30, 1 1 0
45.68, 1.986, 85, 1 1 1
51.31, 1.781, 33, 0 1 2
60.55, 1.529, 40, 1 1 2
61.93, 1.498, 21, 1 2 0
66.32, 1.409, 20, 1 2 1
72.63, 1.302, 21, 2 1 1

***

Entry 6:
The following is a theoretical X-ray diffraction stick pattern of MgB. It was derived from a PBE-relaxed structure, using λ = 1.5418 Å (Cu Kα).
Kinematic intensities with the Lorentz-polarization factor, no thermal factor.

Cell and atoms:
```
data_MgB
_chemical_formula_sum 'Mg8 B8'
_space_group_name_H-M_alt 'F m m m'
_space_group_IT_number 69
_space_group_name_Hall '-F 2 2'
_cell_length_a 3.1329
_cell_length_b 5.4023
_cell_length_c 12.0633
_cell_angle_alpha 90.00
_cell_angle_beta 90.00
_cell_angle_gamma 90.00
loop_
_atom_site_label
_atom_site_type_symbol
_atom_site_fract_x
_atom_site_fract_y
_atom_site_fract_z
Mg1 Mg 0.0000 0.0000 0.1386
B1 B 0.0000 0.1682 0.5000
```

Main lines, sorted by position (15° ≤ 2θ ≤ 90°):
Position (°2θ), d [Å], I_rel, index
29.62, 3.016, 21, 0 0 4
33.17, 2.701, 29, 0 2 0
33.90, 2.644, 38, 1 1 1
40.12, 2.247, 100, 1 1 3
45.06, 2.012, 52, 0 2 4
50.66, 1.802, 11, 1 1 5
58.96, 1.566, 12, 2 0 0
59.72, 1.548, 24, 1 3 1
64.01, 1.455, 25, 1 1 7
77.18, 1.236, 19, 2 2 4
77.43, 1.233, 7, 0 4 4
83.56, 1.157, 16, 1 3 7

***

Entry 7:
The following is a theoretical X-ray diffraction stick pattern of LiCu2O2. It was derived from a PBE-relaxed structure, using λ = 1.5418 Å (Cu Kα).
Kinematic intensities with the Lorentz-polarization factor, no thermal factor.

Cell and atoms:
```
data_LiCu2O2
_chemical_formula_sum 'Li8 Cu16 O16'
_space_group_name_H-M_alt 'P 42/n m c'
_space_group_IT_number 137
_cell_length_a 5.7512
_cell_length_b 5.7512
_cell_length_c 12.5826
_cell_angle_alpha 90.00
_cell_angle_beta 90.00
_cell_angle_gamma 90.00
loop_
_space_group_symop_operation_xyz
'x,y,z'
'-x,-y,-z'
'-y+1/2,x,z+1/2'
'y+1/2,-x,-z+1/2'
'-x+1/2,-y+1/2,z'
'x+1/2,y+1/2,-z'
'y,-x+1/2,z+1/2'
'-y,x+1/2,-z+1/2'
'x+1/2,-y,-z'
'-x+1/2,y,z'
'-y,-x,-z+1/2'
'y,x,z+1/2'
'-x,y+1/2,-z'
'x,-y+1/2,z'
'y+1/2,x+1/2,-z+1/2'
'-y+1/2,-x+1/2,z+1/2'
loop_
_atom_site_label
_atom_site_type_symbol
_atom_site_fract_x
_atom_site_fract_y
_atom_site_fract_z
Li1 Li 0.0068 0.2500 0.1778
Cu1 Cu 0.0024 0.7500 0.1501
Cu2 Cu 0.0020 0.7500 0.5074
O1 O 0.0093 0.7500 0.3595
O2 O 0.0096 0.2500 0.3431
```

Main lines, sorted by position (15° ≤ 2θ ≤ 90°):
Position (°2θ), d [Å], I_rel, index
16.95, 5.231, 39, 1 0 1
20.93, 4.245, 45, 1 0 2
31.92, 2.803, 29, 2 0 1
37.79, 2.381, 19, 2 1 2
37.94, 2.372, 100, 2 0 3
43.14, 2.097, 33, 0 0 6
44.56, 2.033, 79, 2 2 0
48.04, 1.894, 17, 2 0 5
63.75, 1.460, 36, 2 2 6
64.85, 1.438, 22, 4 0 0
77.66, 1.229, 25, 4 2 3
81.10, 1.186, 16, 4 0 6

***

Entry 8:
The following is a theoretical X-ray diffraction stick pattern of Tb3Nd4Sc. It was derived from a PBE-relaxed structure, using λ = 1.5418 Å (Cu Kα).
Kinematic intensities with the Lorentz-polarization factor, no thermal factor.

Cell and atoms:
```
data_Tb3Nd4Sc
_chemical_formula_sum 'Tb6 Nd8 Sc2'
_space_group_name_H-M_alt 'C 1 2/m 1'
_space_group_IT_number 12
_cell_length_a 26.7685
_cell_length_b 5.4750
_cell_length_c 3.6755
_cell_angle_alpha 90.00
_cell_angle_beta 97.86
_cell_angle_gamma 90.00
loop_
_space_group_symop_operation_xyz
'x,y,z'
'-x,-y,-z'
'-x,y,-z'
'x,-y,z'
'x+1/2,y+1/2,z'
'-x+1/2,-y+1/2,-z'
'-x+1/2,y+1/2,-z'
'x+1/2,-y+1/2,z'
loop_
_atom_site_label
_atom_site_type_symbol
_atom_site_fract_x
_atom_site_fract_y
_atom_site_fract_z
Tb1 Tb 0.0000 0.0000 0.0000
Tb2 Tb 0.1403 0.0000 0.6401
Nd1 Nd 0.0954 0.5000 0.0960
Nd2 Nd 0.2186 0.5000 0.2172
Sc1 Sc 0.0000 0.5000 0.5000
```

Main lines, sorted by position (15° ≤ 2θ ≤ 90°):
Position (°2θ), d [Å], I_rel, index
28.66, 3.115, 100, 7 1 0
29.27, 3.052, 62, 1 1 -1
30.05, 2.974, 44, 3 1 -1
32.29, 2.772, 51, 3 1 1
32.71, 2.738, 59, 0 2 0
33.99, 2.638, 35, 8 0 -1
35.76, 2.511, 25, 7 1 -1
39.19, 2.299, 22, 8 0 1
47.89, 1.900, 26, 8 2 -1
51.94, 1.760, 19, 8 2 1
58.29, 1.583, 27, 9 1 -2
60.70, 1.526, 20, 2 2 -2